This entry pairs a crystal structure of CdIn2I5 with its theoretical powder X-ray diffraction pattern. Radiation: Cu Ka. Structure: a PBE-relaxed structure.

Structural model:
a b c (Å): 9.9739 9.9739 17.5875
angles (deg): 90.00 90.00 153.23
Fractional positions:
Cd  0.1088  0.8912  0.7500
Cd  0.8912  0.1088  0.2500
In  0.1151  0.8849  0.1634
In  0.1151  0.8849  0.3366
In  0.8849  0.1151  0.6634
In  0.8849  0.1151  0.8366
I  0.0347  0.9653  0.6130
I  0.0347  0.9653  0.8870
I  0.3020  0.6980  0.2500
I  0.3325  0.6675  0.5720
I  0.3325  0.6675  0.9280
I  0.6675  0.3325  0.0720
I  0.6675  0.3325  0.4280
I  0.6980  0.3020  0.7500
I  0.9653  0.0347  0.1130
I  0.9653  0.0347  0.3870

Peak list (10 most intense, 5 to 70 degrees two-theta, sorted by position)
- 2θ = 17.68°, intensity 82
- 2θ = 19.76°, intensity 71
- 2θ = 22.21°, intensity 62
- 2θ = 23.67°, intensity 53
- 2θ = 23.81°, intensity 77
- 2θ = 24.97°, intensity 59
- 2θ = 30.08°, intensity 44
- 2θ = 38.99°, intensity 100
- 2θ = 40.97°, intensity 74
- 2θ = 43.32°, intensity 36